Record 1
Starting from DFT lattice parameters and positions (PBE+U), the powder diffraction line list of Mn3H2O6 was calculated for Cu Kα (weighted mean of Kα1 and Kα2).
No peak broadening, texture or thermal motion is included.

Main lines, in order of rising 2θ (10° ≤ 2θ ≤ 80°):
d (Å)  I_rel
3.977  76
3.955  38
2.933  55
2.915  55
2.542  28
2.462  100
2.230  29
1.723  51
1.717  32
1.623  30

Crystal structure
```
Mn3H2O6
1.0
7.496 -1.476 0.000
7.496 1.476 0.000
-0.029 0.000 4.673
Mn H O
3 2 6
direct
0.000 0.000 0.000
0.356 0.356 0.531
0.644 0.644 0.469
0.179 0.179 0.897
0.821 0.821 0.103
0.116 0.116 0.213
0.203 0.203 0.697
0.456 0.456 0.227
0.544 0.544 0.773
0.797 0.797 0.303
0.884 0.884 0.787
```

***

Record 2
Starting from DFT lattice parameters and positions (PBE+U), the powder diffraction line list of MnHO2 was calculated for Cu Kα (weighted mean of Kα1 and Kα2).
No peak broadening, texture or thermal motion is included.

Main lines, in order of rising 2θ (10° ≤ 2θ ≤ 80°):
d (Å)  I_rel
5.099  100
5.049  48
4.994  44
2.657  27
2.631  17
2.198  34
2.187  62
1.694  14
1.557  15
1.544  16

Crystal structure
```
MnHO2
1.0
6.117 0.000 0.000
0.000 6.258 0.000
-0.104 0.000 8.793
Mn H O
8 8 16
direct
0.004 0.000 0.496
0.230 0.230 0.255
0.272 0.731 0.751
0.496 0.455 0.001
0.504 0.955 0.999
0.728 0.231 0.249
0.770 0.730 0.745
0.996 0.500 0.504
0.050 0.126 0.768
0.075 0.215 0.996
0.403 0.707 0.474
0.468 0.347 0.714
0.532 0.847 0.286
0.597 0.207 0.526
0.925 0.715 0.004
0.950 0.626 0.232
0.019 0.538 0.728
0.028 0.986 0.722
0.195 0.250 0.481
0.229 0.210 0.028
0.264 0.739 0.522
0.307 0.709 0.979
0.480 0.424 0.227
0.490 0.973 0.227
0.510 0.473 0.773
0.520 0.924 0.773
0.693 0.209 0.021
0.736 0.239 0.478
0.771 0.710 0.972
0.805 0.750 0.519
0.972 0.486 0.278
0.981 0.038 0.272
```

***

Record 3
Starting from DFT lattice parameters and positions (PBE+U), the powder diffraction line list of MnHO2 was calculated for Cu Kα (weighted mean of Kα1 and Kα2).
No peak broadening, texture or thermal motion is included.

Main lines, in order of rising 2θ (10° ≤ 2θ ≤ 80°):
d (Å)  I_rel
4.552  100
2.740  41
2.412  24
2.402  24
2.124  9
2.083  22
1.852  15
1.844  15
1.600  16
1.470  10

Crystal structure
```
MnHO2
1.0
2.941 0.000 0.000
-1.462 2.879 0.000
-0.021 -1.464 4.552
Mn H O
1 1 2
direct
0.000 0.000 0.000
0.505 0.011 0.533
0.412 0.825 0.214
0.578 0.157 0.765
```

***

Record 4
Starting from DFT lattice parameters and positions (PBE+U), the powder diffraction line list of Mn2HO4 was calculated for Cu Kα (weighted mean of Kα1 and Kα2).
No peak broadening, texture or thermal motion is included.

Main lines, in order of rising 2θ (10° ≤ 2θ ≤ 80°):
d (Å)  I_rel
5.063  100
4.743  62
2.643  26
2.551  10
2.532  9
2.505  19
2.136  47
2.089  26
1.674  9
1.493  23

Crystal structure
```
Mn2HO4
1.0
5.762 0.000 0.000
0.000 6.366 0.000
0.000 0.000 8.355
Mn H O
8 4 16
direct
0.000 0.000 0.000
0.000 0.500 0.000
0.209 0.250 0.254
0.291 0.750 0.754
0.500 0.000 0.500
0.500 0.500 0.500
0.709 0.250 0.246
0.791 0.750 0.746
0.065 0.250 0.539
0.435 0.750 0.039
0.565 0.250 0.961
0.935 0.750 0.461
0.038 0.548 0.767
0.038 0.952 0.767
0.201 0.250 0.021
0.219 0.250 0.487
0.281 0.750 0.987
0.299 0.750 0.521
0.462 0.048 0.267
0.462 0.452 0.267
0.538 0.548 0.733
0.538 0.952 0.733
0.701 0.250 0.479
0.719 0.250 0.013
0.781 0.750 0.513
0.799 0.750 0.979
0.962 0.048 0.233
0.962 0.452 0.233
```

***

Record 5
Starting from DFT lattice parameters and positions (PBE+U), the powder diffraction line list of MnH2O2 was calculated for Cu Kα (weighted mean of Kα1 and Kα2).
No peak broadening, texture or thermal motion is included.

Main lines, in order of rising 2θ (10° ≤ 2θ ≤ 80°):
d (Å)  I_rel
4.958  100
2.919  12
2.904  21
2.661  31
2.478  35
2.406  31
2.021  17
1.858  10
1.684  9
1.653  9

Crystal structure
```
MnH2O2
1.0
3.370 0.000 0.000
1.683 2.925 0.000
0.179 0.662 4.958
Mn H O
1 2 2
direct
0.000 0.000 0.000
0.207 0.443 0.593
0.621 0.575 0.408
0.315 0.400 0.778
0.676 0.614 0.216
```

***

Record 6
Starting from DFT lattice parameters and positions (PBE+U), the powder diffraction line list of MnH2O2 was calculated for Cu Kα (weighted mean of Kα1 and Kα2).
No peak broadening, texture or thermal motion is included.

Main lines, in order of rising 2θ (10° ≤ 2θ ≤ 80°):
d (Å)  I_rel
4.820  100
2.919  34
2.519  36
2.486  73
1.877  12
1.868  16
1.849  23
1.685  32
1.599  9
1.413  10

Crystal structure
```
MnH2O2
1.0
3.370 0.000 0.000
0.081 4.820 0.000
0.004 0.062 5.841
Mn H O
2 4 4
direct
0.000 0.000 0.000
0.497 0.000 0.500
0.004 0.573 0.338
0.490 0.427 0.166
0.505 0.573 0.839
0.987 0.426 0.665
0.005 0.775 0.335
0.493 0.225 0.165
0.504 0.775 0.836
0.989 0.224 0.664
```

***

Record 7
Starting from DFT lattice parameters and positions (PBE+U), the powder diffraction line list of MnHO2 was calculated for Cu Kα (weighted mean of Kα1 and Kα2).
No peak broadening, texture or thermal motion is included.

Main lines, in order of rising 2θ (10° ≤ 2θ ≤ 80°):
d (Å)  I_rel
5.044  100
2.723  7
2.692  8
2.607  27
2.250  19
2.153  29
1.726  7
1.660  8
1.556  15
1.502  7

Crystal structure
```
MnHO2
1.0
6.076 0.000 0.000
0.000 6.102 0.000
0.000 0.000 9.002
Mn H O
8 8 16
direct
0.000 0.029 0.250
0.000 0.529 0.250
0.219 0.251 0.501
0.281 0.749 0.001
0.500 0.471 0.750
0.500 0.971 0.750
0.719 0.249 0.499
0.781 0.751 0.999
0.045 0.171 0.989
0.074 0.215 0.761
0.426 0.785 0.261
0.455 0.829 0.489
0.545 0.329 0.011
0.574 0.285 0.239
0.926 0.715 0.739
0.955 0.671 0.511
0.029 0.023 0.030
0.029 0.554 0.029
0.196 0.277 0.279
0.225 0.228 0.722
0.275 0.772 0.222
0.304 0.723 0.779
0.471 0.446 0.529
0.471 0.977 0.530
0.529 0.477 0.970
0.529 0.946 0.971
0.696 0.223 0.721
0.725 0.272 0.278
0.775 0.728 0.778
0.804 0.777 0.221
0.971 0.054 0.471
0.971 0.523 0.470
```

***

Record 8
Starting from DFT lattice parameters and positions (PBE+U), the powder diffraction line list of MnHO2 was calculated for Cu Kα (weighted mean of Kα1 and Kα2).
No peak broadening, texture or thermal motion is included.

Main lines, in order of rising 2θ (10° ≤ 2θ ≤ 80°):
d (Å)  I_rel
3.443  100
2.683  29
2.593  15
2.472  45
2.303  11
2.245  14
1.818  32
1.722  13
1.697  45
1.531  15

Crystal structure
```
MnHO2
1.0
5.375 0.000 0.000
0.000 5.366 0.000
-2.119 0.000 4.948
Mn H O
4 4 8
direct
0.238 0.012 0.248
0.238 0.488 0.748
0.762 0.512 0.252
0.762 0.988 0.752
0.279 0.523 0.233
0.279 0.977 0.733
0.721 0.023 0.267
0.721 0.477 0.767
0.127 0.126 0.878
0.127 0.374 0.378
0.373 0.623 0.130
0.373 0.877 0.630
0.627 0.123 0.370
0.627 0.377 0.870
0.873 0.626 0.622
0.873 0.874 0.122
```